[1]
LiMg3: theoretical XRD peak list (λ = 1.5418 Å (Cu Kα)), based on DFT lattice parameters and positions (GGA-PBE).
Intensities are scaled so that the largest is 100.

Atomic structure:
Cell: 7.040 7.040 7.040 Å, 90.00 90.00 90.00°
Space group Fm-3m (No. 225)
Asymmetric unit:
1 Li 0.000 0.000 0.000 x4
2 Mg 0.000 0.000 0.500 x4
3 Mg 0.250 0.250 0.250 x8

Principal peaks in the range 2θ from 10° to 80°, in order of rising 2θ:
| 2θ (°) | Rel. int. | index |
| --- | --- | --- |
| 21.87 | 16 | 1 1 1 |
| 25.30 | 8 | 2 0 0 |
| 36.08 | 100 | 2 2 0 |
| 51.95 | 17 | 4 0 0 |
| 64.88 | 33 | 4 2 2 |
| 76.55 | 10 | 4 4 0 |

---

[2]
SrBr2O7: theoretical XRD peak list (λ = 1.5418 Å (Cu Kα)), based on DFT lattice parameters and positions (GGA-PBE).
Intensities are scaled so that the largest is 100.

Atomic structure:
Cell: 12.390 7.861 8.665 Å, 90.00 130.25 90.00°
Space group C2/c (No. 15)
Asymmetric unit:
1 Sr 0.000 0.159 0.250 x4
2 Br 0.193 0.480 0.700 x8
3 O 0.000 0.180 0.750 x4
4 O 0.096 0.339 0.107 x8
5 O 0.138 0.046 0.625 x8
6 O 0.193 0.409 0.516 x8

Principal peaks in the range 2θ from 10° to 80°, in order of rising 2θ:
| 2θ (°) | Rel. int. | index |
| --- | --- | --- |
| 15.23 | 74 | 1 1 -1 |
| 26.96 | 66 | 0 0 2 |
| 28.94 | 62 | 4 0 -2 |
| 29.55 | 89 | 2 2 0 |
| 30.56 | 92 | 3 1 0 |
| 30.75 | 100 | 2 2 -2 |

---

[3]
Sr2Mg: theoretical XRD peak list (λ = 1.5418 Å (Cu Kα)), based on DFT lattice parameters and positions (GGA-PBE).
Intensities are scaled so that the largest is 100.

Atomic structure:
Cell: 4.232 4.232 14.298 Å, 90.00 90.00 90.00°
Space group I4/mmm (No. 139)
Asymmetric unit:
1 Sr 0.000 0.000 0.143 x4
2 Mg 0.000 0.000 0.500 x2

Principal peaks in the range 2θ from 10° to 80°, in order of rising 2θ:
| 2θ (°) | Rel. int. | index |
| --- | --- | --- |
| 21.91 | 38 | 1 0 1 |
| 28.20 | 100 | 1 0 3 |
| 29.86 | 52 | 1 1 0 |
| 39.27 | 21 | 1 1 4 |
| 42.74 | 19 | 2 0 0 |
| 51.99 | 35 | 2 1 3 |

---

[4]
Te2Mo3WS6: theoretical XRD peak list (λ = 1.5418 Å (Cu Kα)), based on DFT lattice parameters and positions (GGA-PBE).
Intensities are scaled so that the largest is 100.

Atomic structure:
Cell: 3.2714 3.2714 37.1671 Å, 90.00 90.00 120.00°
Space group P3m1 (No. 156)
Asymmetric unit:
1 Te 0.0000 0.0000 0.0000 x1
2 Te 0.0000 0.0000 0.1038 x1
3 Mo 0.0000 0.0000 0.2399 x1
4 Mo 0.6667 0.3333 0.0519 x1
5 Mo 0.6667 0.3333 0.4277 x1
6 W 0.0000 0.0000 0.6156 x1
7 S 0.0000 0.0000 0.3863 x1
8 S 0.0000 0.0000 0.4691 x1
9 S 0.6667 0.3333 0.1985 x1
10 S 0.6667 0.3333 0.2813 x1
11 S 0.6667 0.3333 0.5740 x1
12 S 0.6667 0.3333 0.6572 x1

Principal peaks in the range 2θ from 10° to 80°, in order of rising 2θ:
| 2θ (°) | Rel. int. | index |
| --- | --- | --- |
| 11.91 | 100 | 0 0 5 |
| 14.30 | 26 | 0 0 6 |
| 31.59 | 38 | 1 0 0 |
| 37.17 | 81 | 1 0 8 |
| 45.05 | 36 | 0 1 13 |
| 56.24 | 22 | 1 1 0 |

---

[5]
Eu4As7Ir8: theoretical XRD peak list (λ = 1.5418 Å (Cu Kα)), based on DFT lattice parameters and positions (GGA-PBE).
Intensities are scaled so that the largest is 100.

Atomic structure:
Cell: 13.285 4.160 13.659 Å, 90.00 98.65 90.00°
Space group P2_1/m (No. 11)
Asymmetric unit:
1 Eu 0.014 0.250 0.209 x2
2 Eu 0.214 0.750 0.604 x2
3 Eu 0.287 0.750 0.935 x2
4 Eu 0.397 0.750 0.294 x2
5 As 0.030 0.250 0.628 x2
6 As 0.109 0.250 0.937 x2
7 As 0.189 0.750 0.190 x2
8 As 0.244 0.250 0.418 x2
9 As 0.348 0.250 0.780 x2
10 As 0.405 0.250 0.087 x2
11 As 0.443 0.750 0.600 x2
12 Ir 0.054 0.250 0.452 x2
13 Ir 0.074 0.750 0.029 x2
14 Ir 0.156 0.750 0.361 x2
15 Ir 0.165 0.250 0.771 x2
16 Ir 0.222 0.250 0.102 x2
17 Ir 0.420 0.250 0.502 x2
18 Ir 0.445 0.750 0.780 x2
19 Ir 0.485 0.250 0.928 x2

Principal peaks in the range 2θ from 10° to 80°, in order of rising 2θ:
| 2θ (°) | Rel. int. | index |
| --- | --- | --- |
| 29.63 | 54 | 3 1 -1 |
| 30.98 | 55 | 2 1 -3 |
| 33.59 | 57 | 2 1 3 |
| 34.65 | 100 | 4 1 -1 |
| 35.35 | 53 | 2 1 -4 |
| 43.50 | 97 | 0 2 0 |

---

[6]
Ho2CdS4: theoretical XRD peak list (λ = 1.5418 Å (Cu Kα)), based on DFT lattice parameters and positions (GGA-PBE).
Intensities are scaled so that the largest is 100.

Atomic structure:
Cell: 5.499 5.499 11.006 Å, 90.00 90.00 90.00°
Space group I-4m2 (No. 119)
Asymmetric unit:
1 Ho 0.000 0.000 0.000 x2
2 Ho 0.000 0.500 0.250 x2
3 Cd 0.000 0.500 0.750 x2
4 S 0.000 0.000 0.246 x4
5 S 0.000 0.500 0.006 x4

Principal peaks in the range 2θ from 10° to 80°, in order of rising 2θ:
| 2θ (°) | Rel. int. | index |
| --- | --- | --- |
| 18.03 | 51 | 1 0 1 |
| 28.10 | 55 | 1 1 2 |
| 32.56 | 100 | 2 0 0 |
| 46.71 | 71 | 2 2 0 |
| 55.40 | 27 | 1 1 6 |
| 77.63 | 31 | 4 2 0 |

---

[7]
Pr2AlFe16: theoretical XRD peak list (λ = 1.5418 Å (Cu Kα)), based on DFT lattice parameters and positions (GGA-PBE).
Intensities are scaled so that the largest is 100.

Atomic structure:
Cell: 8.5561 8.5561 12.5451 Å, 90.00 90.00 120.00°
Space group R3m (No. 160, hexagonal axes)
Asymmetric unit:
1 Pr 0.0000 0.0000 0.0000 x3
2 Pr 0.0000 0.0000 0.3126 x3
3 Al 0.0000 0.0000 0.7502 x3
4 Fe 0.0000 0.0000 0.5563 x3
5 Fe 0.0004 0.2851 0.6553 x18
6 Fe 0.0004 0.5002 0.1553 x9
7 Fe 0.0025 0.5013 0.4978 x9
8 Fe 0.1677 0.3355 0.1462 x9

Principal peaks in the range 2θ from 10° to 80°, in order of rising 2θ:
| 2θ (°) | Rel. int. | index |
| --- | --- | --- |
| 29.88 | 41 | 1 1 3 |
| 36.37 | 34 | 3 0 0 |
| 42.25 | 62 | 2 2 0 |
| 42.51 | 100 | 3 0 3 |
| 43.29 | 54 | 0 0 6 |
| 62.09 | 30 | 2 2 6 |

---

[8]
SrU2As2H8O12: theoretical XRD peak list (λ = 1.5418 Å (Cu Kα)), based on DFT lattice parameters and positions (GGA-PBE).
Intensities are scaled so that the largest is 100.

Atomic structure:
Cell: 7.346 7.294 15.705 Å, 90.00 96.24 90.00°
Space group Pc (No. 7)
Asymmetric unit:
1 Sr 0.000 0.177 0.000 x2
2 U 0.254 0.252 0.806 x2
3 U 0.743 0.255 0.193 x2
4 As 0.245 0.245 0.244 x2
5 As 0.753 0.243 0.756 x2
6 H 0.105 0.138 0.418 x2
7 H 0.127 0.491 0.082 x2
8 H 0.343 0.071 0.068 x2
9 H 0.468 0.338 0.584 x2
10 H 0.545 0.303 0.416 x2
11 H 0.655 0.100 0.935 x2
12 H 0.886 0.497 0.420 x2
13 H 0.926 0.119 0.595 x2
14 O 0.054 0.239 0.168 x2
15 O 0.214 0.248 0.690 x2
16 O 0.239 0.059 0.311 x2
17 O 0.242 0.440 0.305 x2
18 O 0.273 0.252 0.925 x2
19 O 0.435 0.240 0.189 x2
20 O 0.561 0.237 0.809 x2
21 O 0.726 0.255 0.074 x2
22 O 0.757 0.438 0.695 x2
23 O 0.758 0.057 0.688 x2
24 O 0.784 0.249 0.309 x2
25 O 0.943 0.237 0.832 x2

Principal peaks in the range 2θ from 10° to 80°, in order of rising 2θ:
| 2θ (°) | Rel. int. | index |
| --- | --- | --- |
| 11.34 | 100 | 0 0 2 |
| 13.40 | 43 | 0 1 1 |
| 18.52 | 29 | 1 1 1 |
| 24.40 | 63 | 0 2 0 |
| 25.79 | 25 | 2 0 -2 |
| 27.00 | 28 | 0 2 2 |